No. 1
For DyCrP2Ru, a DFT-relaxed cell (GGA-PBE, Alexandria) gives the calculated X-ray diffraction stick pattern in this record (Cu Kα X-rays).

Peak list (10 most intense, 10° ≤ 2θ ≤ 80°, by angle)
3.708 Å, intensity 46, (1 0 1); 2.507 Å, intensity 47, (1 0 3); 2.447 Å, intensity 100, (1 1 2); 2.405 Å, intensity 16, (0 0 4); 2.009 Å, intensity 39, (2 0 0); 1.736 Å, intensity 15, (1 0 5); 1.568 Å, intensity 22, (2 1 3); 1.542 Å, intensity 16, (2 0 4); 1.397 Å, intensity 17, (1 1 6); 1.229 Å, intensity 21, (3 1 2)

Structure:
a = 4.0187 Å, b = 4.0187 Å, c = 9.6220 Å
α = 90.00°, β = 90.00°, γ = 90.00°
Space group I-4m2 (No. 119)
Asymmetric unit:
Dy1 0.0000 0.0000 0.0000
Cr1 0.0000 0.5000 0.2500
P1 0.0000 0.0000 0.3740
Ru1 0.0000 0.5000 0.7500



No. 2
For DyCrRu, a DFT-relaxed cell (GGA-PBE, Alexandria) gives the calculated X-ray diffraction stick pattern in this record (Cu Kα X-rays).

Peak list (10 most intense, 10° ≤ 2θ ≤ 80°, by angle)
4.743 Å, intensity 51, (1 1 0); 4.432 Å, intensity 21, (1 0 1); 3.354 Å, intensity 34, (2 0 0); 2.702 Å, intensity 21, (1 0 2); 2.675 Å, intensity 65, (2 1 1); 2.507 Å, intensity 100, (1 1 2); 2.372 Å, intensity 52, (2 2 0); 2.091 Å, intensity 29, (3 0 1); 1.996 Å, intensity 22, (3 1 1); 1.723 Å, intensity 29, (3 1 2)

Structure:
a = 6.7080 Å, b = 6.7080 Å, c = 5.9053 Å
α = 90.00°, β = 90.00°, γ = 90.00°
Space group P4_12_12 (No. 92)
Asymmetric unit:
Dy1 0.2365 0.2365 0.0000
Cr1 0.1966 0.8034 0.7500
Ru1 0.0591 0.0591 0.5000